# Na4P2NO16
Theoretical XRD peak list, Cu Kα X-rays. Input: a GGA-PBE-relaxed structure.

Top 10 peaks for 10° ≤ 2θ ≤ 90°, low angle first:
2θ = 11.45°, I = 100.0; 2θ = 18.52°, I = 45.1; 2θ = 20.16°, I = 24.6; 2θ = 20.66°, I = 23.6; 2θ = 21.82°, I = 26.0; 2θ = 23.07°, I = 53.6; 2θ = 23.38°, I = 26.1; 2θ = 29.38°, I = 33.2; 2θ = 38.63°, I = 20.3; 2θ = 48.57°, I = 18.6

Cell and atoms:
a b c (Å): 20.569 5.790 16.030
angles (deg): 90.00 123.30 90.00
Space group C2/c (No. 15)
One atom of each set of equivalent atoms:
Na  0.057  0.109  0.167
Na  0.175  0.139  0.539
P  0.077  0.253  0.836
N  0.000  0.397  0.750
O  0.059  0.071  0.539
O  0.061  0.078  0.891
O  0.123  0.185  0.792
O  0.123  0.469  0.921
O  0.138  0.445  0.154
O  0.148  0.366  0.383
O  0.205  0.478  0.709
O  0.232  0.083  0.451